[1]
Diffraction record for Ni3Sb. The powder XRD pattern is calculated, not measured: it uses a DFT-relaxed cell (GGA-PBE, Alexandria) and Cu Kα (λ = 1.5418 Å).
Intensities are scaled so that the largest is 100.

Structure:
Unit cell a=4.5348 b=4.5348 c=4.5348 alpha=131.13 beta=130.97 gamma=71.73
Fractional positions:
Ni 0.0000 0.0000 0.0000
Ni 0.2498 0.7498 0.5000
Ni 0.7502 0.2502 0.5000
Sb 0.5000 0.5000 0.0000

Peak list (10 most intense, 10° ≤ 2θ ≤ 90°, low angle first)
2θ = 26.6°, d = 3.346 Å, I = 10
2θ = 42.0°, d = 2.153 Å, I = 100
2θ = 48.4°, d = 1.882 Å, I = 16
2θ = 48.5°, d = 1.876 Å, I = 16
2θ = 49.6°, d = 1.837 Å, I = 15
2θ = 70.9°, d = 1.328 Å, I = 10
2θ = 71.8°, d = 1.315 Å, I = 9
2θ = 85.9°, d = 1.132 Å, I = 12
2θ = 86.1°, d = 1.129 Å, I = 11
2θ = 87.7°, d = 1.112 Å, I = 11

---

[2]
Diffraction record for Ni3Sb5. The powder XRD pattern is calculated, not measured: it uses a DFT-relaxed cell (GGA-PBE, Alexandria) and Cu Kα (λ = 1.5418 Å).
Intensities are scaled so that the largest is 100.

Structure:
Unit cell a=7.7581 b=7.7581 c=6.3563 alpha=90.00 beta=90.00 gamma=120.00
Fractional positions:
Ni 0.0000 0.3844 0.2500
Ni 0.0000 0.6156 0.7500
Ni 0.3844 0.0000 0.2500
Ni 0.3844 0.3844 0.7500
Ni 0.6156 0.0000 0.7500
Ni 0.6156 0.6156 0.2500
Sb 0.0000 0.2692 0.7500
Sb 0.0000 0.7308 0.2500
Sb 0.2692 0.0000 0.7500
Sb 0.2692 0.2692 0.2500
Sb 0.3333 0.6667 0.0000
Sb 0.3333 0.6667 0.5000
Sb 0.6667 0.3333 0.0000
Sb 0.6667 0.3333 0.5000
Sb 0.7308 0.0000 0.2500
Sb 0.7308 0.7308 0.7500

Peak list (10 most intense, 10° ≤ 2θ ≤ 90°, low angle first)
2θ = 28.1°, d = 3.178 Å, I = 15
2θ = 31.1°, d = 2.873 Å, I = 22
2θ = 35.3°, d = 2.539 Å, I = 22
2θ = 36.6°, d = 2.458 Å, I = 100
2θ = 38.2°, d = 2.358 Å, I = 60
2θ = 40.3°, d = 2.240 Å, I = 58
2θ = 55.5°, d = 1.656 Å, I = 22
2θ = 56.6°, d = 1.627 Å, I = 19
2θ = 62.5°, d = 1.485 Å, I = 14
2θ = 73.0°, d = 1.296 Å, I = 19

---

[3]
Diffraction record for NiSb3. The powder XRD pattern is calculated, not measured: it uses a DFT-relaxed cell (GGA-PBE, Alexandria) and Cu Kα (λ = 1.5418 Å).
Intensities are scaled so that the largest is 100.

Structure:
Unit cell a=3.1603 b=3.1603 c=9.1913 alpha=90.00 beta=90.00 gamma=90.00
Fractional positions:
Ni 0.0000 0.0000 0.0000
Sb 0.0000 0.0000 0.5000
Sb 0.5000 0.5000 0.1813
Sb 0.5000 0.5000 0.8187

Peak list (10 most intense, 10° ≤ 2θ ≤ 90°, low angle first)
2θ = 29.1°, d = 3.064 Å, I = 27
2θ = 29.9°, d = 2.989 Å, I = 30
2θ = 34.4°, d = 2.604 Å, I = 100
2θ = 40.4°, d = 2.235 Å, I = 50
2θ = 41.0°, d = 2.200 Å, I = 16
2θ = 49.0°, d = 1.858 Å, I = 15
2θ = 50.6°, d = 1.805 Å, I = 23
2θ = 58.4°, d = 1.580 Å, I = 16
2θ = 69.6°, d = 1.351 Å, I = 24
2θ = 75.2°, d = 1.264 Å, I = 13